Structure and simulated XRD peak list of SrCaMnP2O8 (a cell relaxed with GGA+U; copper Kα).
Intensities are scaled so that the largest is 100.

Principal peaks in the range 2θ from 10° to 80°, by angle:
- 2θ 21.70, I = 22, hkl -1 1 1
- 2θ 27.68, I = 100, hkl 0 2 -2
- 2θ 28.31, I = 16, hkl -1 1 2
- 2θ 29.39, I = 57, hkl 1 1 1
- 2θ 30.47, I = 50, hkl 1 0 -3
- 2θ 31.46, I = 44, hkl 2 0 -1
- 2θ 32.35, I = 29, hkl 2 -1 0
- 2θ 32.68, I = 43, hkl -1 2 1
- 2θ 45.90, I = 19, hkl 1 3 -1
- 2θ 48.51, I = 23, hkl 0 1 4

```
data_SrCaMnP2O8
_space_group_name_H-M_alt 'P -1'
_space_group_IT_number 2
_cell_length_a 5.7586
_cell_length_b 6.9680
_cell_length_c 9.6941
_cell_angle_alpha 109.51
_cell_angle_beta 101.39
_cell_angle_gamma 98.64
loop_
_space_group_symop_operation_xyz
'x,y,z'
'-x,-y,-z'
loop_
_atom_site_label
_atom_site_fract_x
_atom_site_fract_y
_atom_site_fract_z
Sr1 0.2375 0.1926 0.4444
Ca1 0.4974 0.5799 0.8377
Mn1 0.1367 0.8417 0.0620
P1 0.1124 0.5869 0.2817
P2 0.3370 0.0332 0.7983
O1 0.0803 0.4240 0.1175
O2 0.1190 0.4513 0.6646
O3 0.1300 0.9672 0.8691
O4 0.1664 0.8083 0.2764
O5 0.2318 0.0038 0.6333
O6 0.3406 0.5530 0.3802
O7 0.4667 0.1001 0.1913
O8 0.4769 0.2661 0.9030
```

***

Structure and simulated XRD peak list of Ca5MnSi9Pb9O33 (a cell relaxed with GGA+U; copper Kα).
Intensities are scaled so that the largest is 100.

Principal peaks in the range 2θ from 10° to 80°, by angle:
- 2θ 17.76, I = 71, hkl 1 1 0
- 2θ 19.76, I = 70, hkl 1 1 1
- 2θ 24.84, I = 88, hkl 1 1 2
- 2θ 25.97, I = 72, hkl 0 0 3
- 2θ 28.65, I = 100, hkl 2 1 1
- 2θ 31.01, I = 69, hkl 3 0 0
- 2θ 31.64, I = 78, hkl 1 1 3
- 2θ 32.44, I = 81, hkl 1 2 2
- 2θ 44.86, I = 55, hkl 2 2 3
- 2θ 49.84, I = 54, hkl 4 0 3

```
data_Ca5MnSi9Pb9O33
_space_group_name_H-M_alt 'P -6'
_space_group_IT_number 174
_cell_length_a 9.9890
_cell_length_b 9.9890
_cell_length_c 10.2928
_cell_angle_alpha 90.00
_cell_angle_beta 90.00
_cell_angle_gamma 120.00
loop_
_space_group_symop_operation_xyz
'x,y,z'
'-x+y,-x,-z'
'-y,x-y,z'
'x,y,-z'
'-x+y,-x,z'
'-y,x-y,-z'
loop_
_atom_site_label
_atom_site_fract_x
_atom_site_fract_y
_atom_site_fract_z
Ca1 0.0000 0.0000 0.0000
Ca2 0.0000 0.0000 0.3394
Ca3 0.3333 0.6667 0.3208
Mn1 0.3333 0.6667 0.0000
Si1 0.0501 0.3128 0.1484
Si2 0.0757 0.7186 0.5000
Pb1 0.3943 0.3312 0.1770
Pb2 0.4144 0.0658 0.5000
O1 0.0103 0.8370 0.5000
O2 0.0163 0.5960 0.3755
O3 0.0727 0.8746 0.1701
O4 0.1824 0.4922 0.1516
O5 0.1951 0.4623 0.5000
O6 0.2935 0.0339 0.0000
O7 0.3572 0.0927 0.2517
```

***

Structure and simulated XRD peak list of CaPr2Mn3O9 (a cell relaxed with GGA+U; copper Kα).
Intensities are scaled so that the largest is 100.

Principal peaks in the range 2θ from 10° to 80°, by angle:
- 2θ 12.13, I = 92, hkl 0 0 1
- 2θ 16.53, I = 89, hkl 1 0 0
- 2θ 20.62, I = 57, hkl 1 0 -1
- 2θ 23.07, I = 100, hkl 1 1 1
- 2θ 25.14, I = 81, hkl 1 -1 0
- 2θ 29.71, I = 51, hkl 1 0 -2
- 2θ 30.87, I = 52, hkl 0 2 0
- 2θ 31.34, I = 73, hkl 1 1 2
- 2θ 31.46, I = 65, hkl 1 2 0
- 2θ 31.82, I = 46, hkl 1 1 -2

```
data_CaPr2Mn3O9
_space_group_name_H-M_alt 'P 1'
_space_group_IT_number 1
_cell_length_a 5.5174
_cell_length_b 5.9610
_cell_length_c 7.2964
_cell_angle_alpha 89.18
_cell_angle_beta 89.44
_cell_angle_gamma 76.41
loop_
_space_group_symop_operation_xyz
'x,y,z'
loop_
_atom_site_label
_atom_site_fract_x
_atom_site_fract_y
_atom_site_fract_z
Ca1 0.0000 0.0000 0.0000
Pr1 0.2794 0.4430 0.7501
Pr2 0.9901 0.0006 0.5255
Mn1 0.0405 0.4443 0.2588
Mn2 0.4842 0.8106 0.2586
Mn3 0.5576 0.8831 0.7951
O1 0.0229 0.3943 0.5052
O2 0.0340 0.4060 0.0122
O3 0.2101 0.0955 0.2540
O4 0.2328 0.0638 0.7652
O5 0.4035 0.7279 0.5033
O6 0.4307 0.7307 0.0068
O7 0.6718 0.1599 0.7507
O8 0.8458 0.7689 0.2622
O9 0.8968 0.7385 0.7860
```

***

Structure and simulated XRD peak list of CaPrMnSbO6 (a cell relaxed with GGA+U; copper Kα).
Intensities are scaled so that the largest is 100.

Principal peaks in the range 2θ from 10° to 80°, by angle:
- 2θ 18.99, I = 30, hkl 1 1 1
- 2θ 31.26, I = 100, hkl 2 2 0
- 2θ 36.83, I = 17, hkl 3 1 1
- 2θ 44.79, I = 35, hkl 4 0 0
- 2θ 49.06, I = 7, hkl 3 3 1
- 2θ 55.63, I = 39, hkl 4 2 2
- 2θ 59.33, I = 6, hkl 5 1 1
- 2θ 65.20, I = 20, hkl 4 4 0
- 2θ 68.59, I = 6, hkl 5 3 1
- 2θ 74.08, I = 16, hkl 6 2 0

```
data_CaPrMnSbO6
_space_group_name_H-M_alt 'F -4 3 m'
_space_group_IT_number 216
_space_group_name_Hall 'F -4 2 3'
_cell_length_a 8.0940
_cell_length_b 8.0940
_cell_length_c 8.0940
_cell_angle_alpha 90.00
_cell_angle_beta 90.00
_cell_angle_gamma 90.00
loop_
_atom_site_label
_atom_site_fract_x
_atom_site_fract_y
_atom_site_fract_z
Ca1 0.0000 0.0000 0.0000
Pr1 0.0000 0.0000 0.5000
Mn1 0.2500 0.2500 0.7500
Sb1 0.2500 0.2500 0.2500
O1 0.0064 0.2500 0.2500
```

***

Structure and simulated XRD peak list of Ca2MnRuO6 (a cell relaxed with GGA+U; copper Kα).
Intensities are scaled so that the largest is 100.

Principal peaks in the range 2θ from 10° to 80°, by angle:
- 2θ 22.48, I = 63, hkl 1 1 -1
- 2θ 23.61, I = 25, hkl 0 0 2
- 2θ 31.54, I = 50, hkl 0 2 0
- 2θ 32.48, I = 47, hkl 2 0 -2
- 2θ 32.67, I = 100, hkl 1 1 1
- 2θ 32.99, I = 92, hkl 1 1 -3
- 2θ 45.90, I = 64, hkl 2 2 -2
- 2θ 48.32, I = 35, hkl 0 0 4
- 2θ 57.86, I = 26, hkl 3 1 -1
- 2θ 58.47, I = 25, hkl 3 1 -5

```
data_Ca2MnRuO6
_space_group_name_H-M_alt 'P 1 21/c 1'
_space_group_IT_number 14
_cell_length_a 5.5141
_cell_length_b 5.6740
_cell_length_c 9.2793
_cell_angle_alpha 90.00
_cell_angle_beta 125.69
_cell_angle_gamma 90.00
loop_
_space_group_symop_operation_xyz
'x,y,z'
'-x,-y,-z'
'-x,y+1/2,-z+1/2'
'x,-y+1/2,z+1/2'
loop_
_atom_site_label
_atom_site_fract_x
_atom_site_fract_y
_atom_site_fract_z
Ca1 0.2383 0.0555 0.2495
Mn1 0.5000 0.0000 0.0000
Ru1 0.0000 0.0000 0.5000
O1 0.1440 0.2128 0.9519
O2 0.2416 0.6949 0.9523
O3 0.3481 0.0299 0.7533
```

***

Structure and simulated XRD peak list of SrCaMnRuO6 (a cell relaxed with GGA+U; copper Kα).
Intensities are scaled so that the largest is 100.

Principal peaks in the range 2θ from 10° to 80°, by angle:
- 2θ 19.44, I = 21, hkl 1 0 -1
- 2θ 31.43, I = 51, hkl 0 2 0
- 2θ 31.71, I = 49, hkl 2 0 0
- 2θ 32.23, I = 100, hkl 1 1 -2
- 2θ 32.49, I = 94, hkl 1 1 2
- 2θ 45.25, I = 67, hkl 2 2 0
- 2θ 47.56, I = 31, hkl 0 0 4
- 2θ 56.65, I = 42, hkl 3 1 -2
- 2θ 57.14, I = 24, hkl 3 1 2
- 2θ 58.12, I = 20, hkl 0 2 4

```
data_SrCaMnRuO6
_space_group_name_H-M_alt 'P 1 21 1'
_space_group_IT_number 4
_cell_length_a 5.6432
_cell_length_b 5.6924
_cell_length_c 7.6481
_cell_angle_alpha 90.00
_cell_angle_beta 90.61
_cell_angle_gamma 90.00
loop_
_space_group_symop_operation_xyz
'x,y,z'
'-x,y+1/2,-z'
loop_
_atom_site_label
_atom_site_fract_x
_atom_site_fract_y
_atom_site_fract_z
Sr1 0.2459 0.0000 0.0001
Ca1 0.2550 0.0783 0.4994
Mn1 0.2484 0.5350 0.7464
Ru1 0.2488 0.5344 0.2556
O1 0.0272 0.2384 0.7793
O2 0.0478 0.2529 0.2197
O3 0.1621 0.5045 0.5053
O4 0.3181 0.5453 0.9973
O5 0.4526 0.8139 0.2966
O6 0.4690 0.8316 0.7040
```

***

Structure and simulated XRD peak list of Sr3CaMn2S2O5 (a cell relaxed with GGA+U; copper Kα).
Intensities are scaled so that the largest is 100.

Principal peaks in the range 2θ from 10° to 80°, by angle:
- 2θ 31.32, I = 100, hkl 1 0 7
- 2θ 31.85, I = 46, hkl 1 1 0
- 2θ 36.07, I = 40, hkl 1 0 9
- 2θ 37.09, I = 21, hkl 1 1 6
- 2θ 45.66, I = 42, hkl 2 0 0
- 2θ 56.41, I = 36, hkl 2 1 7
- 2θ 59.52, I = 18, hkl 2 1 9
- 2θ 61.21, I = 13, hkl 1 1 16
- 2θ 66.56, I = 12, hkl 2 2 0
- 2θ 70.67, I = 15, hkl 2 0 16

```
data_Sr3CaMn2S2O5
_space_group_name_H-M_alt 'I -4 m 2'
_space_group_IT_number 119
_space_group_name_Hall 'I -4 -2'
_cell_length_a 3.9739
_cell_length_b 3.9739
_cell_length_c 28.7600
_cell_angle_alpha 90.00
_cell_angle_beta 90.00
_cell_angle_gamma 90.00
loop_
_atom_site_label
_atom_site_fract_x
_atom_site_fract_y
_atom_site_fract_z
Sr1 0.0000 0.0000 0.0000
Sr2 0.0000 0.0000 0.1308
Ca1 0.0000 0.5000 0.7500
Mn1 0.0000 0.0000 0.4318
S1 0.0000 0.0000 0.3152
O1 0.0000 0.0000 0.5000
O2 0.0000 0.5000 0.0751
O3 0.0000 0.5000 0.5753
```